(1)
Computed powder diffraction line list
Compound: Ce8Pd24Pb
Radiation: CuKα
Structure: a crystal structure in Alexandria, relaxed with PBE

abc: 8.508 8.508 8.508
angles: 90.00 90.00 90.00
Space group Pm-3m (No. 221)
Asymmetric unit:
Ce: 0.247 0.247 0.247 x8
Pd: 0.000 0.000 0.324 x6
Pd: 0.000 0.270 0.500 x12
Pd: 0.256 0.500 0.500 x6
Pb: 0.000 0.000 0.000 x1

Principal peaks in the range 2θ from 10° to 90°, in order of rising 2θ:
d (Å)	I (rel.)	(hkl)
3.008	11	2 2 0
2.456	100	2 2 2
2.360	15	3 2 0
2.127	61	4 0 0
2.064	10	3 2 2
1.504	33	4 4 0
1.283	27	6 2 2
1.228	9	4 4 4


(2)
Computed powder diffraction line list
Compound: Ce11Pd4Pb9
Radiation: CuKα
Structure: a crystal structure in Alexandria, relaxed with PBE

abc: 14.238 21.455 4.280
angles: 90.00 90.00 90.00
Space group Cmmm (No. 65)
Asymmetric unit:
Ce: 0.000 0.000 0.000 x2
Ce: 0.000 0.164 0.000 x4
Ce: 0.000 0.370 0.000 x4
Ce: 0.194 0.500 0.000 x4
Ce: 0.241 0.170 0.000 x8
Pd: 0.152 0.400 0.500 x8
Pb: 0.000 0.500 0.500 x2
Pb: 0.112 0.262 0.500 x8
Pb: 0.140 0.075 0.500 x8

Principal peaks in the range 2θ from 10° to 90°, in order of rising 2θ:
d (Å)	I (rel.)	(hkl)
3.144	10	3 1 1
3.028	9	2 4 1
2.964	13	1 5 1
2.904	12	3 3 1
2.740	100	4 0 1
2.523	40	4 6 0
2.140	21	0 0 2
1.632	21	4 6 2


(3)
Computed powder diffraction line list
Compound: CePd2Pb2
Radiation: CuKα
Structure: a crystal structure in Alexandria, relaxed with PBE

abc: 4.877 5.006 10.075
angles: 90.00 90.01 90.00
Space group P2_1/m (No. 11)
Asymmetric unit:
Ce: 0.250 0.250 0.177 x2
Pd: 0.250 0.750 0.328 x2
Pd: 0.251 0.750 0.985 x2
Pb: 0.250 0.250 0.513 x2
Pb: 0.250 0.250 0.837 x2

Principal peaks in the range 2θ from 10° to 90°, in order of rising 2θ:
d (Å)	I (rel.)	(hkl)
3.495	30	1 1 0
3.358	11	0 0 3
2.503	29	0 2 0
2.439	27	2 0 0
2.421	100	1 1 3
1.747	20	2 2 0
1.429	19	1 3 3
1.404	18	3 1 3


(4)
Computed powder diffraction line list
Compound: Ce2PmPb2
Radiation: CuKα
Structure: a crystal structure in Alexandria, relaxed with PBE

abc: 5.2292 5.2292 13.0806
angles: 90.00 90.00 120.00
Space group P6_3/mmc (No. 194)
Asymmetric unit:
Ce: 0.0000 0.0000 0.0000 x2
Ce: 0.3333 0.6667 0.2500 x2
Pm: 0.0000 0.0000 0.2500 x2
Pb: 0.3333 0.6667 0.6185 x4

Principal peaks in the range 2θ from 10° to 90°, in order of rising 2θ:
d (Å)	I (rel.)	(hkl)
3.141	75	1 0 3
2.651	52	1 0 4
2.615	100	1 1 0
2.265	19	1 0 5
2.009	22	2 0 3
1.593	21	2 1 3
1.516	19	2 1 4
1.386	27	1 1 8


(5)
Computed powder diffraction line list
Compound: Ce2Pm3Pb3
Radiation: CuKα
Structure: a crystal structure in Alexandria, relaxed with PBE

abc: 9.4534 9.4534 6.5575
angles: 90.00 90.00 120.00
Space group P6_3/mcm (No. 193)
Asymmetric unit:
Ce: 0.3333 0.6667 0.0000 x4
Pm: 0.0000 0.2434 0.2500 x6
Pb: 0.0000 0.3895 0.7500 x6

Principal peaks in the range 2θ from 10° to 90°, in order of rising 2θ:
d (Å)	I (rel.)	(hkl)
3.279	25	0 0 2
3.094	22	2 1 0
2.798	100	2 1 1
2.729	48	3 0 0
2.694	70	1 1 2
2.146	20	3 1 1
1.785	31	2 1 3
1.465	21	5 0 2


(6)
Computed powder diffraction line list
Compound: Ce6Pm4Pb7
Radiation: CuKα
Structure: a crystal structure in Alexandria, relaxed with PBE

abc: 10.364 10.364 10.364
angles: 90.00 90.00 90.00
Space group Im-3m (No. 229)
Asymmetric unit:
Ce: 0.000 0.000 0.300 x12
Pm: 0.250 0.250 0.250 x8
Pb: 0.000 0.000 0.000 x2
Pb: 0.000 0.250 0.500 x12

Principal peaks in the range 2θ from 10° to 90°, in order of rising 2θ:
d (Å)	I (rel.)	(hkl)
2.992	100	2 2 2
2.770	26	3 2 1
2.591	69	4 0 0
2.210	18	3 3 2
1.832	43	4 4 0
1.562	33	6 2 2
1.496	13	4 4 4
1.159	16	8 4 0